Record 1
Pm2Al6Au21: theoretical PXRD pattern (Cu Kα X-rays), based on a DFT-relaxed cell (PBE, Alexandria).
Kinematic intensities with the Lorentz-polarization factor, no thermal factor.

Atomic structure:
```
Pm2Al6Au21
1.0
8.1806 -4.6043 0.0000
8.1806 4.6043 0.0000
-3.9354 0.0000 7.3917
Pm Al Au
2 6 21
Cartesian
3.0591 0.0000 1.3570
9.3667 0.0000 6.0347
0.9878 0.0000 5.5539
5.3098 2.1886 5.2717
7.1160 2.1886 2.1200
5.3098 -2.1886 5.2717
7.1160 -2.1886 2.1200
11.4379 0.0000 1.8378
-1.7855 0.0000 5.8402
4.5848 2.4318 2.6947
2.6662 1.9728 4.9772
0.3751 0.0000 2.9289
8.1806 3.1872 0.0000
5.4903 1.6019 0.1403
7.8409 2.4318 4.6970
4.6631 0.0000 4.1540
9.7596 1.9728 2.4145
6.9355 1.6019 7.2514
8.1806 0.0000 0.0000
5.4903 -1.6019 0.1403
2.6662 -1.9728 4.9772
7.7627 0.0000 3.2377
4.5848 -2.4318 2.6947
6.9355 -1.6019 7.2514
8.1806 -3.1872 0.0000
12.0506 0.0000 4.4628
9.7596 -1.9728 2.4145
7.8409 -2.4318 4.6970
14.2112 0.0000 1.5514
```

Top 10 peaks for 2θ = 10–90°, low angle first:
2theta	I/Imax
32.31	57.4
33.68	66.7
34.66	100.0
36.46	69.9
37.03	54.5
37.99	98.1
38.06	87.4
39.13	55.7
41.56	92.2
42.37	90.9



Record 2
PmNdSm2Er4: theoretical PXRD pattern (Cu Kα X-rays), based on a DFT-relaxed cell (PBE, Alexandria).
Kinematic intensities with the Lorentz-polarization factor, no thermal factor.

Atomic structure:
```
PmNdSm2Er4
1.0
6.8244 -6.6347 0.0000
6.8244 6.6347 0.0000
-3.4025 0.0000 5.9046
Pm Nd Sm Er
2 2 4 8
Cartesian
0.0000 0.0000 0.0000
-1.7013 0.0000 2.9523
3.4122 3.3173 0.0000
1.7110 -3.3173 2.9523
1.7110 3.3173 2.9523
3.4122 -3.3173 0.0000
6.8244 0.0000 0.0000
5.1232 0.0000 2.9523
1.7201 0.0041 2.9454
5.1232 3.3128 2.9553
3.4219 3.3128 5.9016
0.0188 -0.0041 5.8977
10.2276 0.0041 0.0069
6.8244 -3.3128 0.0030
5.1232 -3.3128 2.9493
8.5263 -0.0041 2.9592
```

Top 10 peaks for 2θ = 10–90°, low angle first:
2theta	I/Imax
26.88	45.1
30.26	100.0
40.91	88.6
53.75	20.1
61.10	27.3
62.97	8.3
64.42	23.3
69.70	18.4
80.84	12.3
88.68	10.1



Record 3
Sr2Al5Pd4: theoretical PXRD pattern (Cu Kα X-rays), based on a DFT-relaxed cell (PBE, Alexandria).
Kinematic intensities with the Lorentz-polarization factor, no thermal factor.

Atomic structure:
```
Sr2Al5Pd4
1.0
18.2392 0.0000 0.0000
0.0000 4.3325 0.0000
0.0000 0.0000 11.1902
Sr Al Pd
8 20 16
Cartesian
0.1431 1.0831 2.6845
3.5479 3.2494 1.8169
5.5717 1.0831 7.4120
8.9766 3.2494 8.2796
9.2627 1.0831 2.9106
12.6675 3.2494 3.7782
14.6914 1.0831 9.3733
18.0962 3.2494 8.5057
0.8586 1.0831 6.0795
1.8612 1.0831 10.6577
2.9455 3.2494 6.7850
3.1471 3.2494 9.5768
3.2131 1.0831 4.7247
5.9065 3.2494 10.3198
5.9725 1.0831 3.9817
6.1742 1.0831 1.1899
7.2584 3.2494 5.0626
8.2610 3.2494 0.4844
9.9782 1.0831 10.7058
10.9808 1.0831 6.1276
12.0651 3.2494 10.0003
12.2668 3.2494 7.2085
12.3327 1.0831 0.8704
15.0261 3.2494 6.4655
15.0921 1.0831 1.6134
15.2938 1.0831 4.4052
16.3780 3.2494 0.5325
17.3806 3.2494 5.1107
0.8934 3.2494 0.1580
1.6533 3.2494 4.6556
2.4770 1.0831 8.1070
4.4686 1.0831 10.4346
4.6510 3.2494 4.8395
6.6426 3.2494 2.5118
7.4664 1.0831 10.2507
8.2263 1.0831 5.7531
10.0130 3.2494 5.4371
10.7729 3.2494 0.9395
11.5966 1.0831 8.6784
13.5883 1.0831 6.3507
13.7706 3.2494 0.7556
15.7622 3.2494 3.0833
16.5860 1.0831 6.5346
17.3459 1.0831 11.0322
```

Top 10 peaks for 2θ = 10–90°, low angle first:
2theta	I/Imax
22.00	54.6
24.09	59.0
27.82	45.1
29.54	40.0
32.38	54.2
33.53	96.3
37.43	55.1
41.23	95.0
41.69	100.0
54.54	62.7



Record 4
GaNi4Pt4: theoretical PXRD pattern (Cu Kα X-rays), based on a DFT-relaxed cell (PBE, Alexandria).
Kinematic intensities with the Lorentz-polarization factor, no thermal factor.

Atomic structure:
```
GaNi4Pt4
1.0
-3.9712 3.9712 1.9159
3.9712 -3.9712 1.9159
3.9712 3.9712 -1.9159
Ga Ni Pt
1 4 4
Cartesian
0.0000 0.0000 0.0000
2.6673 2.6673 0.0000
1.3039 -1.3039 1.9159
-1.3039 1.3039 1.9159
1.3039 1.3039 1.9159
2.5451 0.0000 0.0000
5.3974 0.0000 0.0000
0.0000 2.5451 0.0000
0.0000 5.3974 0.0000
```

Top 10 peaks for 2θ = 10–90°, low angle first:
2theta	I/Imax
15.78	15.3
31.87	10.7
34.43	20.3
41.46	100.0
47.46	17.3
48.64	30.8
70.31	20.2
71.24	9.3
84.16	12.8
85.92	22.4